Record 1
Theoretical powder XRD pattern of Ba2YTlCo2O7 for Cu Kα, from DFT lattice parameters and positions (PBE+U).
Peak positions follow from Bragg's law for the DFT cell and can differ from measured ones.

Crystal structure
Cell lengths 5.5560, 5.5982, 12.7214 Å; angles 89.99, 89.97, 89.90 degrees
Sites, in units of the cell vectors:
Ba: 0.0000 0.0000 0.0000
Ba: 0.0006 0.0010 0.5849
Ba: 0.4995 0.5045 0.9995
Ba: 0.5021 0.5047 0.5862
Y: 0.5000 0.5036 0.2919
Y: 0.9988 0.0023 0.2930
Tl: 0.0195 0.4792 0.7927
Tl: 0.5280 0.0422 0.7930
Co: 0.9997 0.5023 0.1463
Co: 0.0010 0.5028 0.4389
Co: 0.4994 0.0031 0.1653
Co: 0.4990 0.0030 0.4187
O: 0.2523 0.2511 0.4052
O: 0.2525 0.2515 0.1801
O: 0.2530 0.7542 0.4046
O: 0.2531 0.7545 0.1805
O: 0.4389 0.4480 0.7928
O: 0.4918 0.9904 0.6261
O: 0.4919 0.9911 0.9605
O: 0.7463 0.2506 0.4053
O: 0.7471 0.2508 0.1801
O: 0.7471 0.7554 0.1807
O: 0.7467 0.7557 0.4046
O: 0.9451 0.0683 0.7928
O: 0.9985 0.5054 0.5966
O: 0.9975 0.5060 0.9886

Peak list (10 most intense, 2θ from 10° to 80°, by intensity)
2θ = 31.0°, intensity 100
2θ = 26.6°, intensity 39
2θ = 32.2°, intensity 34
2θ = 32.0°, intensity 33
2θ = 46.0°, intensity 33
2θ = 56.7°, intensity 18
2θ = 35.3°, intensity 17
2θ = 56.4°, intensity 17
2θ = 23.6°, intensity 13
2θ = 59.3°, intensity 12

---

Record 2
Theoretical powder XRD pattern of Ba2YTlCo2O7 for Cu Kα, from DFT lattice parameters and positions (PBE+U).
Peak positions follow from Bragg's law for the DFT cell and can differ from measured ones.

Crystal structure
Cell lengths 13.3588, 13.3588, 3.9044 Å; angles 90.10, 90.10, 145.65 degrees
Sites, in units of the cell vectors:
Ba: 0.1033 0.8967 0.0000
Ba: 0.3928 0.6056 0.9860
Ba: 0.6056 0.3928 0.9860
Ba: 0.8967 0.1033 0.0000
Y: 0.2524 0.7530 0.9952
Y: 0.7530 0.2524 0.9952
Tl: 0.2554 0.2554 0.5223
Tl: 0.7309 0.7309 0.4423
Co: 0.0725 0.4257 0.4948
Co: 0.4257 0.0725 0.4948
Co: 0.5754 0.9304 0.4939
Co: 0.9304 0.5754 0.4939
O: 0.0567 0.4496 0.9949
O: 0.1050 0.1050 0.0367
O: 0.1541 0.3486 0.4948
O: 0.1842 0.7961 0.4957
O: 0.3228 0.7136 0.4961
O: 0.3486 0.1541 0.4948
O: 0.4496 0.0567 0.9949
O: 0.4943 0.4943 0.8218
O: 0.5611 0.9445 0.9961
O: 0.6511 0.8525 0.4966
O: 0.7136 0.3228 0.4961
O: 0.7961 0.1842 0.4957
O: 0.8525 0.6511 0.4966
O: 0.9445 0.5611 0.9961

Peak list (10 most intense, 2θ from 10° to 80°, by intensity)
2θ = 30.9°, intensity 100
2θ = 31.1°, intensity 97
2θ = 32.2°, intensity 64
2θ = 32.4°, intensity 59
2θ = 56.7°, intensity 34
2θ = 26.6°, intensity 34
2θ = 26.8°, intensity 32
2θ = 46.0°, intensity 31
2θ = 46.5°, intensity 30
2θ = 35.2°, intensity 28

---

Record 3
Theoretical powder XRD pattern of Ba2YTlCo2O7 for Cu Kα, from DFT lattice parameters and positions (PBE+U).
Peak positions follow from Bragg's law for the DFT cell and can differ from measured ones.

Crystal structure
Cell lengths 3.9374, 3.9649, 12.5345 Å; angles 90.00, 90.10, 90.00 degrees
Sites, in units of the cell vectors:
Ba: 0.0031 0.0000 0.2913
Ba: 0.9969 0.0000 0.7087
Y: 0.0000 0.9944 0.0000
Tl: 0.5000 0.5474 0.5000
Co: 0.4987 0.4963 0.8568
Co: 0.5013 0.4963 0.1432
O: 0.0000 0.8662 0.5000
O: 0.0016 0.4971 0.8864
O: 0.4983 0.4876 0.6859
O: 0.5002 0.9938 0.1143
O: 0.4998 0.9938 0.8857
O: 0.5017 0.4876 0.3141
O: 0.9984 0.4971 0.1136

Peak list (10 most intense, 2θ from 10° to 80°, by intensity)
2θ = 31.1°, intensity 100
2θ = 32.0°, intensity 90
2θ = 56.4°, intensity 35
2θ = 31.2°, intensity 34
2θ = 26.6°, intensity 26
2θ = 56.7°, intensity 25
2θ = 26.7°, intensity 24
2θ = 46.1°, intensity 24
2θ = 45.8°, intensity 21
2θ = 43.3°, intensity 20